Structure and theoretical powder diffraction line list of Er2Se3 (a DFT-relaxed cell (PBE, Alexandria); Cu Kα X-rays).

Structure:
```
data_Er2Se3
_chemical_formula_sum 'Er32 Se48'
_space_group_name_H-M_alt 'I -4 2 d'
_space_group_IT_number 122
_space_group_name_Hall 'I -4 2bw'
_cell_length_a 8.634
_cell_length_b 8.634
_cell_length_c 25.913
_cell_angle_alpha 90.00
_cell_angle_beta 90.00
_cell_angle_gamma 90.00
loop_
_atom_site_label
_atom_site_type_symbol
_atom_site_fract_x
_atom_site_fract_y
_atom_site_fract_z
Er1 Er 0.000 0.000 0.165
Er2 Er 0.115 0.750 0.625
Er3 Er 0.134 0.739 0.961
Se1 Se 0.064 0.680 0.185
Se2 Se 0.069 0.683 0.856
Se3 Se 0.079 0.678 0.517
```

The 10 most intense peaks (10° ≤ 2θ ≤ 90°), in order of rising 2θ:
| two_theta | d (Å) | I (rel.) | hkl |
| --- | --- | --- | --- |
| 25.3 | 3.525 | 30 | 1 1 6 |
| 32.8 | 2.731 | 100 | 3 1 0 |
| 39.0 | 2.308 | 61 | 2 1 9 |
| 47.1 | 1.931 | 23 | 4 0 6 |
| 49.5 | 1.841 | 16 | 3 2 9 |
| 51.9 | 1.763 | 10 | 4 2 6 |
| 54.2 | 1.694 | 21 | 3 1 12 |
| 66.8 | 1.401 | 28 | 1 1 18 |
| 70.7 | 1.333 | 12 | 5 1 12 |
| 82.0 | 1.175 | 20 | 2 1 21 |



Structure and theoretical powder diffraction line list of Er2Se5 (a DFT-relaxed cell (PBE, Alexandria); Cu Kα X-rays).

Structure:
```
data_Er2Se5
_chemical_formula_sum 'Er8 Se20'
_space_group_name_H-M_alt 'C m c m'
_space_group_IT_number 63
_space_group_name_Hall '-C 2c 2'
_cell_length_a 3.964
_cell_length_b 42.217
_cell_length_c 3.964
_cell_angle_alpha 90.00
_cell_angle_beta 90.00
_cell_angle_gamma 90.00
loop_
_atom_site_label
_atom_site_type_symbol
_atom_site_fract_x
_atom_site_fract_y
_atom_site_fract_z
Er1 Er 0.000 0.104 0.250
Er2 Er 0.000 0.306 0.250
Se1 Se 0.000 0.050 0.750
Se2 Se 0.000 0.176 0.250
Se3 Se 0.000 0.250 0.750
Se4 Se 0.000 0.375 0.250
Se5 Se 0.000 0.450 0.750
```

The 10 most intense peaks (10° ≤ 2θ ≤ 90°), in order of rising 2θ:
| two_theta | d (Å) | I (rel.) | hkl |
| --- | --- | --- | --- |
| 24.8 | 3.589 | 30 | 1 5 0 |
| 29.6 | 3.015 | 36 | 0 14 0 |
| 32.0 | 2.797 | 46 | 1 1 1 |
| 33.7 | 2.660 | 100 | 1 5 1 |
| 37.4 | 2.406 | 57 | 1 9 1 |
| 39.3 | 2.295 | 33 | 1 15 0 |
| 39.8 | 2.264 | 63 | 1 11 1 |
| 45.8 | 1.982 | 70 | 2 0 0 |
| 55.5 | 1.656 | 25 | 2 14 0 |
| 64.4 | 1.446 | 24 | 1 25 1 |